Diffraction record for PrSn3Ru. The X-ray diffraction stick pattern is computed, not measured: it uses a PBE-relaxed structure and Cu Kα (λ = 1.5418 Å).

The 8 most intense peaks (2θ = 10–90°), by angle:
2θ 32.75, rel. 100, hkl 3 2 0; 2θ 34.03, rel. 42, hkl 3 2 1; 2θ 36.45, rel. 20, hkl 4 0 0; 2θ 37.62, rel. 13, hkl 4 1 0; 2θ 45.05, rel. 22, hkl 4 2 2; 2θ 57.64, rel. 17, hkl 5 3 2; 2θ 62.49, rel. 14, hkl 6 2 2; 2θ 66.37, rel. 13, hkl 6 3 2

Cell and atoms:
abc: 9.8588 9.8588 9.8588
angles: 90.00 90.00 90.00
Positions (direct):
1 Pr 0.0000 0.0000 0.0000
2 Pr 0.0000 0.2500 0.5000
3 Pr 0.0000 0.7500 0.5000
4 Pr 0.2500 0.5000 0.0000
5 Pr 0.5000 0.0000 0.2500
6 Pr 0.5000 0.0000 0.7500
7 Pr 0.5000 0.5000 0.5000
8 Pr 0.7500 0.5000 0.0000
9 Sn 0.0000 0.3126 0.1572
10 Sn 0.0000 0.3126 0.8428
11 Sn 0.0000 0.6874 0.1572
12 Sn 0.0000 0.6874 0.8428
13 Sn 0.1572 0.0000 0.3126
14 Sn 0.1572 0.0000 0.6874
15 Sn 0.1874 0.5000 0.3428
16 Sn 0.1874 0.5000 0.6572
17 Sn 0.3126 0.1572 0.0000
18 Sn 0.3126 0.8428 0.0000
19 Sn 0.3428 0.1874 0.5000
20 Sn 0.3428 0.8126 0.5000
21 Sn 0.5000 0.3428 0.1874
22 Sn 0.5000 0.3428 0.8126
23 Sn 0.5000 0.6572 0.1874
24 Sn 0.5000 0.6572 0.8126
25 Sn 0.6572 0.1874 0.5000
26 Sn 0.6572 0.8126 0.5000
27 Sn 0.6874 0.1572 0.0000
28 Sn 0.6874 0.8428 0.0000
29 Sn 0.8126 0.5000 0.3428
30 Sn 0.8126 0.5000 0.6572
31 Sn 0.8428 0.0000 0.3126
32 Sn 0.8428 0.0000 0.6874
33 Ru 0.2500 0.2500 0.2500
34 Ru 0.2500 0.2500 0.7500
35 Ru 0.2500 0.7500 0.2500
36 Ru 0.2500 0.7500 0.7500
37 Ru 0.7500 0.2500 0.2500
38 Ru 0.7500 0.2500 0.7500
39 Ru 0.7500 0.7500 0.2500
40 Ru 0.7500 0.7500 0.7500